# UFe5Si2Ni5
Simulated XRD peak list, Cu Kα. Input: DFT lattice parameters and positions (GGA-PBE).

The 8 most intense peaks (10 to 90 degrees two-theta), low angle first:
2θ 15.26, I 96, hkl 0 1 0; 2θ 35.13, I 44, hkl 0 1 2; 2θ 42.91, I 56, hkl 2 0 2; 2θ 43.13, I 91, hkl 0 2 -2; 2θ 43.33, I 58, hkl 2 0 0; 2θ 43.51, I 80, hkl 2 2 0; 2θ 44.07, I 100, hkl 1 0 -2; 2θ 45.07, I 58, hkl 0 2 2

Crystal structure
Cell: 4.834 6.241 6.298 Å, 84.01 67.49 68.50°
Space group P-1 (No. 2)
Inequivalent atoms, fractional coordinates:
U 0.000 0.000 0.000 x1
Fe 0.281 0.225 0.222 x2
Fe 0.498 0.776 0.222 x2
Fe 0.500 0.500 0.000 x1
Si 0.007 0.351 0.646 x2
Ni 0.000 0.000 0.500 x1
Ni 0.000 0.500 0.000 x1
Ni 0.329 0.657 0.659 x2
Ni 0.500 0.000 0.500 x1